Entry 1:
This entry pairs a crystal structure of Rb2U2PtS6 with its computed powder diffraction line list. Radiation: a wavelength of 1.5418 Å. Structure: the PBE geometry in Alexandria.
Lines closer than 0.1° are merged.

Main lines, in order of falling intensity (2θ from 10° to 90°):
2θ 11.2, rel. 100
2θ 28.9, rel. 68
2θ 26.3, rel. 37
2θ 22.6, rel. 31
2θ 40.2, rel. 27
2θ 32.5, rel. 26
2θ 25.2, rel. 23
2θ 47.7, rel. 18
2θ 36.2, rel. 16
2θ 28.6, rel. 15

abc: 7.1835 7.1835 8.0595
angles: 95.57 95.57 127.12
Fractional coordinates of all 11 atoms:
1 Rb 0.1429 0.8571 0.0000
2 Rb 0.8571 0.1429 0.0000
3 U 0.3412 0.6588 0.5000
4 U 0.6588 0.3412 0.5000
5 Pt 0.0000 0.0000 0.5000
6 S 0.0415 0.4445 0.6971
7 S 0.2617 0.2617 0.3375
8 S 0.4445 0.0415 0.6971
9 S 0.5555 0.9585 0.3029
10 S 0.7383 0.7383 0.6625
11 S 0.9585 0.5555 0.3029

Entry 2:
This entry pairs a crystal structure of RbUPtS2 with its computed powder diffraction line list. Radiation: a wavelength of 1.5418 Å. Structure: the PBE geometry in Alexandria.
Lines closer than 0.1° are merged.

Main lines, in order of falling intensity (2θ from 10° to 90°):
2θ 11.2, rel. 100
2θ 22.5, rel. 36
2θ 31.2, rel. 31
2θ 34.8, rel. 26
2θ 31.0, rel. 24
2θ 39.2, rel. 21
2θ 35.4, rel. 20
2θ 51.5, rel. 17
2θ 42.5, rel. 16
2θ 50.5, rel. 15

abc: 8.0879 4.7973 7.3769
angles: 90.00 101.79 90.00
Fractional coordinates of all 10 atoms:
1 Rb 0.0000 0.1976 0.2500
2 Rb 0.0000 0.8024 0.7500
3 U 0.5000 0.4944 0.7500
4 U 0.5000 0.5056 0.2500
5 Pt 0.5000 0.0000 0.0000
6 Pt 0.5000 0.0000 0.5000
7 S 0.2652 0.3008 0.9505
8 S 0.2652 0.6992 0.4505
9 S 0.7348 0.3008 0.5495
10 S 0.7348 0.6992 0.0495

Entry 3:
This entry pairs a crystal structure of Rb5Sb2Pt with its computed powder diffraction line list. Radiation: a wavelength of 1.5418 Å. Structure: the PBE geometry in Alexandria.
Lines closer than 0.1° are merged.

Main lines, in order of falling intensity (2θ from 10° to 90°):
2θ 28.8, rel. 100
2θ 26.9, rel. 28
2θ 16.8, rel. 26
2θ 51.0, rel. 20
2θ 17.6, rel. 16
2θ 29.3, rel. 15
2θ 46.2, rel. 14
2θ 40.0, rel. 13
2θ 59.6, rel. 12
2θ 34.6, rel. 11

abc: 10.4830 10.4830 10.4830
angles: 34.44 34.44 34.44
Fractional coordinates of all 8 atoms:
1 Rb 0.0000 0.0000 0.0000
2 Rb 0.1398 0.1398 0.1398
3 Rb 0.2807 0.2807 0.2807
4 Rb 0.7193 0.7193 0.7193
5 Rb 0.8602 0.8602 0.8602
6 Sb 0.4120 0.4120 0.4120
7 Sb 0.5880 0.5880 0.5880
8 Pt 0.5000 0.5000 0.5000

Entry 4:
This entry pairs a crystal structure of Rb3Sb4Pt2 with its computed powder diffraction line list. Radiation: a wavelength of 1.5418 Å. Structure: the PBE geometry in Alexandria.
Lines closer than 0.1° are merged.

Main lines, in order of falling intensity (2θ from 10° to 90°):
2θ 14.0, rel. 100
2θ 28.2, rel. 65
2θ 26.9, rel. 58
2θ 35.0, rel. 40
2θ 30.6, rel. 38
2θ 42.6, rel. 35
2θ 12.7, rel. 35
2θ 41.5, rel. 30
2θ 49.8, rel. 26
2θ 45.1, rel. 21

abc: 7.4001 7.4001 10.4032
angles: 100.30 100.30 34.18
Fractional coordinates of all 9 atoms:
1 Rb 0.0000 0.0000 0.0000
2 Rb 0.3808 0.3808 0.6004
3 Rb 0.6192 0.6192 0.3996
4 Sb 0.1049 0.1049 0.6876
5 Sb 0.2885 0.2885 0.9059
6 Sb 0.7115 0.7115 0.0941
7 Sb 0.8951 0.8951 0.3124
8 Pt 0.3211 0.3211 0.1702
9 Pt 0.6789 0.6789 0.8298

Entry 5:
This entry pairs a crystal structure of Rb3SbPt with its computed powder diffraction line list. Radiation: a wavelength of 1.5418 Å. Structure: the PBE geometry in Alexandria.
Lines closer than 0.1° are merged.

Main lines, in order of falling intensity (2θ from 10° to 90°):
2θ 30.5, rel. 100
2θ 32.2, rel. 74
2θ 53.1, rel. 33
2θ 56.3, rel. 32
2θ 14.2, rel. 31
2θ 38.3, rel. 27
2θ 33.8, rel. 21
2θ 63.4, rel. 15
2θ 54.2, rel. 14
2θ 42.4, rel. 11

abc: 8.7968 8.7968 8.7968
angles: 90.00 90.00 90.00
Fractional coordinates of all 20 atoms:
1 Rb 0.0573 0.1115 0.7878
2 Rb 0.1115 0.7878 0.0573
3 Rb 0.2122 0.5573 0.3885
4 Rb 0.2878 0.4427 0.8885
5 Rb 0.3885 0.2122 0.5573
6 Rb 0.4427 0.8885 0.2878
7 Rb 0.5573 0.3885 0.2122
8 Rb 0.6115 0.7122 0.9427
9 Rb 0.7122 0.9427 0.6115
10 Rb 0.7878 0.0573 0.1115
11 Rb 0.8885 0.2878 0.4427
12 Rb 0.9427 0.6115 0.7122
13 Sb 0.1767 0.1767 0.1767
14 Sb 0.3233 0.8233 0.6767
15 Sb 0.6767 0.3233 0.8233
16 Sb 0.8233 0.6767 0.3233
17 Pt 0.0818 0.9182 0.4182
18 Pt 0.4182 0.0818 0.9182
19 Pt 0.5818 0.5818 0.5818
20 Pt 0.9182 0.4182 0.0818

Entry 6:
This entry pairs a crystal structure of Rb2U6Pt4Se17 with its computed powder diffraction line list. Radiation: a wavelength of 1.5418 Å. Structure: the PBE geometry in Alexandria.
Lines closer than 0.1° are merged.

Main lines, in order of falling intensity (2θ from 10° to 90°):
2θ 33.2, rel. 100
2θ 11.7, rel. 82
2θ 13.2, rel. 44
2θ 33.0, rel. 43
2θ 43.1, rel. 33
2θ 37.6, rel. 32
2θ 21.3, rel. 30
2θ 40.6, rel. 29
2θ 10.6, rel. 28
2θ 25.8, rel. 25

abc: 10.7063 10.7063 13.3838
angles: 90.00 90.00 90.00
Fractional coordinates of all 58 atoms:
1 Rb 0.0000 0.0000 0.2197
2 Rb 0.0000 0.0000 0.7803
3 Rb 0.5000 0.5000 0.2803
4 Rb 0.5000 0.5000 0.7197
5 U 0.0000 0.5000 0.2500
6 U 0.0000 0.5000 0.7500
7 U 0.1168 0.2430 0.5000
8 U 0.2430 0.8832 0.5000
9 U 0.2570 0.3832 0.0000
10 U 0.3832 0.7430 0.0000
11 U 0.5000 0.0000 0.2500
12 U 0.5000 0.0000 0.7500
13 U 0.6168 0.2570 0.0000
14 U 0.7430 0.6168 0.0000
15 U 0.7570 0.1168 0.5000
16 U 0.8832 0.7570 0.5000
17 Pt 0.0683 0.6349 0.0000
18 Pt 0.1349 0.5683 0.5000
19 Pt 0.3651 0.0683 0.0000
20 Pt 0.4317 0.1349 0.5000
21 Pt 0.5683 0.8651 0.5000
22 Pt 0.6349 0.9317 0.0000
23 Pt 0.8651 0.4317 0.5000
24 Pt 0.9317 0.3651 0.0000
25 Se 0.0000 0.0000 0.5000
26 Se 0.0772 0.2871 0.1319
27 Se 0.0772 0.2871 0.8681
28 Se 0.0926 0.7257 0.3651
29 Se 0.0926 0.7257 0.6349
30 Se 0.2129 0.4228 0.3681
31 Se 0.2129 0.4228 0.6319
32 Se 0.2257 0.5926 0.1349
33 Se 0.2257 0.5926 0.8651
34 Se 0.2743 0.0926 0.3651
35 Se 0.2743 0.0926 0.6349
36 Se 0.2871 0.9228 0.1319
37 Se 0.2871 0.9228 0.8681
38 Se 0.4074 0.2257 0.1349
39 Se 0.4074 0.2257 0.8651
40 Se 0.4228 0.7871 0.3681
41 Se 0.4228 0.7871 0.6319
42 Se 0.5000 0.5000 0.0000
43 Se 0.5772 0.2129 0.3681
44 Se 0.5772 0.2129 0.6319
45 Se 0.5926 0.7743 0.1349
46 Se 0.5926 0.7743 0.8651
47 Se 0.7129 0.0772 0.1319
48 Se 0.7129 0.0772 0.8681
49 Se 0.7257 0.9074 0.3651
50 Se 0.7257 0.9074 0.6349
51 Se 0.7743 0.4074 0.1349
52 Se 0.7743 0.4074 0.8651
53 Se 0.7871 0.5772 0.3681
54 Se 0.7871 0.5772 0.6319
55 Se 0.9074 0.2743 0.3651
56 Se 0.9074 0.2743 0.6349
57 Se 0.9228 0.7129 0.1319
58 Se 0.9228 0.7129 0.8681